Entry 1:
The following is a computed powder diffractogram of Mg3V2Si4O14. It was derived from a GGA+U-relaxed structure, using copper Kα.
Neutral-atom scattering factors, no anomalous dispersion.

Principal peaks in the range 2θ = 10–90°, by angle:
(hkl)  d [Å]  2theta  intensity
1 1 2  3.142  28.41  84
5 1 -2  3.054  29.24  100
2 2 1  2.855  31.34  80
0 2 2  2.803  31.93  86
2 2 2  2.312  38.95  92
1 3 -2  2.250  40.08  60

Cell lengths 16.824, 7.687, 9.868 Å; angles 90.00, 123.95, 90.00 degrees
Space group C2/c (No. 15)
Symmetry-distinct sites (fractional):
Mg (0.000, 0.111, 0.250) x4
Mg (0.177, 0.405, 0.405) x8
V (0.000, 0.298, 0.750) x4
V (0.000, 0.500, 0.000) x4
Si (0.121, 0.141, 0.104) x8
Si (0.183, 0.217, 0.709) x8
O (0.049, 0.082, 0.915) x8
O (0.073, 0.274, 0.174) x8
O (0.082, 0.461, 0.923) x8
O (0.100, 0.347, 0.687) x8
O (0.160, 0.019, 0.741) x8
O (0.200, 0.209, 0.562) x8
O (0.219, 0.215, 0.123) x8


Entry 2:
The following is a computed powder diffractogram of Mg14VSiO16. It was derived from a GGA+U-relaxed structure, using copper Kα.
Neutral-atom scattering factors, no anomalous dispersion.

Principal peaks in the range 2θ = 10–90°, by angle:
(hkl)  d [Å]  2theta  intensity
0 1 0  8.607  10.28  2
1 2 2  2.485  36.15  13
2 0 0  2.152  41.99  100
2 0 4  1.522  60.88  56
1 6 2  1.298  72.90  8
2 4 4  1.242  76.71  17

Cell lengths 4.304, 8.605, 8.609 Å; angles 90.00, 90.00, 90.00 degrees
Space group Pmmm (No. 47)
Symmetry-distinct sites (fractional):
Mg (0.000, 0.000, 0.000) x1
Mg (0.000, 0.000, 0.500) x1
Mg (0.000, 0.248, 0.249) x4
Mg (0.500, 0.000, 0.250) x2
Mg (0.500, 0.247, 0.500) x2
Mg (0.500, 0.249, 0.000) x2
Mg (0.500, 0.500, 0.248) x2
V (0.000, 0.500, 0.000) x1
Si (0.000, 0.500, 0.500) x1
O (0.000, 0.000, 0.248) x2
O (0.000, 0.238, 0.500) x2
O (0.000, 0.245, 0.000) x2
O (0.000, 0.500, 0.247) x2
O (0.500, 0.000, 0.000) x1
O (0.500, 0.000, 0.500) x1
O (0.500, 0.251, 0.250) x4
O (0.500, 0.500, 0.000) x1
O (0.500, 0.500, 0.500) x1


Entry 3:
The following is a computed powder diffractogram of Mg6VSiO8. It was derived from a GGA+U-relaxed structure, using copper Kα.
Neutral-atom scattering factors, no anomalous dispersion.

Principal peaks in the range 2θ = 10–90°, by angle:
(hkl)  d [Å]  2theta  intensity
0 0 1  8.689  10.18  5
1 1 2  2.506  35.84  16
2 0 0  2.170  41.62  100
2 2 0  1.534  60.32  57
1 1 6  1.308  72.20  10
2 2 4  1.253  75.96  17

Cell lengths 4.337, 4.337, 8.689 Å; angles 90.00, 90.00, 90.00 degrees
Space group P4/mmm (No. 123)
Symmetry-distinct sites (fractional):
Mg (0.000, 0.000, 0.000) x1
Mg (0.000, 0.500, 0.246) x4
Mg (0.500, 0.500, 0.000) x1
V (0.000, 0.000, 0.500) x1
Si (0.500, 0.500, 0.500) x1
O (0.000, 0.000, 0.246) x2
O (0.000, 0.500, 0.000) x2
O (0.000, 0.500, 0.500) x2
O (0.500, 0.500, 0.238) x2


Entry 4:
The following is a computed powder diffractogram of Mg3Si4W2O14. It was derived from a GGA+U-relaxed structure, using copper Kα.
Neutral-atom scattering factors, no anomalous dispersion.

Principal peaks in the range 2θ = 10–90°, by angle:
(hkl)  d [Å]  2theta  intensity
2 0 0  7.257  12.20  100
1 1 0  6.777  13.06  76
1 1 -1  6.105  14.51  26
3 1 0  4.091  21.72  33
0 2 2  2.830  31.61  30
2 2 2  2.355  38.21  33

Cell lengths 17.461, 7.663, 10.104 Å; angles 90.00, 123.78, 90.00 degrees
Space group C2/c (No. 15)
Symmetry-distinct sites (fractional):
Mg (0.000, 0.121, 0.250) x4
Mg (0.176, 0.393, 0.397) x8
Si (0.121, 0.133, 0.101) x8
Si (0.189, 0.223, 0.714) x8
W (0.000, 0.306, 0.750) x4
W (0.000, 0.500, 0.000) x4
O (0.053, 0.075, 0.915) x8
O (0.072, 0.265, 0.166) x8
O (0.082, 0.498, 0.411) x8
O (0.113, 0.357, 0.703) x8
O (0.157, 0.027, 0.732) x8
O (0.207, 0.213, 0.572) x8
O (0.213, 0.222, 0.120) x8